Diffraction record for Co5Te4Cl2O12. The powder diffraction line list is calculated, not measured: it uses a cell relaxed with GGA+U and a wavelength of 1.5418 Å.
Neutral-atom scattering factors, no anomalous dispersion.

Largest 10 diffraction maxima, most intense first, 2θ = 10–80°:
2θ/deg, Rel. int.
28.84, 1000
29.21, 545
26.73, 441
34.09, 381
36.84, 371
11.14, 345
22.38, 296
24.13, 225
32.39, 208
32.97, 203

a b c (Å): 10.0601 10.0601 16.3045
angles (deg): 123.72 123.72 30.31
Atoms (fractional coordinates):
1 Co 0.1226 0.6910 0.5238
2 Co 0.2129 0.7723 0.3829
3 Co 0.2277 0.7871 0.1171
4 Co 0.2314 0.7686 0.7500
5 Co 0.3090 0.8774 0.9762
6 Co 0.6910 0.1226 0.0238
7 Co 0.7686 0.2314 0.2500
8 Co 0.7723 0.2129 0.8829
9 Co 0.7871 0.2277 0.6171
10 Co 0.8774 0.3090 0.4762
11 Te 0.1439 0.5513 0.1196
12 Te 0.1857 0.5487 0.8545
13 Te 0.4487 0.8561 0.3804
14 Te 0.4513 0.8143 0.6455
15 Te 0.5487 0.1857 0.3545
16 Te 0.5513 0.1439 0.6196
17 Te 0.8143 0.4513 0.1455
18 Te 0.8561 0.4487 0.8804
19 Cl 0.0865 0.4278 0.4014
20 Cl 0.4278 0.0865 0.9014
21 Cl 0.5722 0.9135 0.0986
22 Cl 0.9135 0.5722 0.5986
23 O 0.0407 0.7510 0.9740
24 O 0.0662 0.0955 0.8574
25 O 0.0955 0.0662 0.3574
26 O 0.1158 0.7962 0.8539
27 O 0.2038 0.8842 0.6461
28 O 0.2247 0.5354 0.2506
29 O 0.2490 0.9593 0.5260
30 O 0.3142 0.5405 0.4303
31 O 0.4244 0.4449 0.6317
32 O 0.4449 0.4244 0.1317
33 O 0.4595 0.6858 0.0697
34 O 0.4646 0.7753 0.2494
35 O 0.5354 0.2247 0.7506
36 O 0.5405 0.3142 0.9303
37 O 0.5551 0.5756 0.8683
38 O 0.5756 0.5551 0.3683
39 O 0.6858 0.4595 0.5697
40 O 0.7510 0.0407 0.4740
41 O 0.7753 0.4646 0.7494
42 O 0.7962 0.1158 0.3539
43 O 0.8842 0.2038 0.1461
44 O 0.9045 0.9338 0.6426
45 O 0.9338 0.9045 0.1426
46 O 0.9593 0.2490 0.0260